[1]
For CuBr, a cell relaxed with GGA-PBE gives the theoretical X-ray powder pattern in this record (Cu Ka).
Peak positions follow from Bragg's law for the DFT cell and can differ from measured ones.

Main lines, in order of rising 2θ (5° ≤ 2θ ≤ 70°):
Position (°2θ)  intensity  index
24.9  11  1 0 0
26.9  86  0 0 2
28.3  100  1 0 1
37.0  8  1 0 2
43.8  67  1 1 0
48.5  22  1 0 3
52.2  79  1 1 2
53.0  17  2 0 1
55.5  11  0 0 4
67.4  8  2 0 3

Atomic structure:
a = 4.133 Å, b = 4.133 Å, c = 6.620 Å
α = 90.00°, β = 90.00°, γ = 120.00°
Atoms (fractional coordinates):
Cu 0.000 0.000 0.250
Cu 0.000 0.000 0.750
Br 0.333 0.667 0.250
Br 0.667 0.333 0.750

=====

[2]
For CuBr, a cell relaxed with GGA-PBE gives the theoretical X-ray powder pattern in this record (Cu Ka).
Peak positions follow from Bragg's law for the DFT cell and can differ from measured ones.

Main lines, in order of rising 2θ (5° ≤ 2θ ≤ 70°):
Position (°2θ)  intensity  index
14.7  62  0 0 1
27.2  100  1 0 1
35.7  42  1 1 1
44.4  86  1 1 2
46.4  38  2 0 0
48.9  11  2 0 1
51.1  16  1 0 3
54.6  27  2 1 1
66.7  8  2 0 3
67.7  12  2 2 0

Atomic structure:
a = 3.914 Å, b = 3.914 Å, c = 6.033 Å
α = 90.00°, β = 90.00°, γ = 90.00°
Atoms (fractional coordinates):
Cu 0.250 0.750 0.000
Cu 0.750 0.250 0.000
Br 0.250 0.250 0.263
Br 0.750 0.750 0.737

=====

[3]
For ErCuTe2BrO6, a cell relaxed with GGA-PBE gives the theoretical X-ray powder pattern in this record (Cu Ka).
Peak positions follow from Bragg's law for the DFT cell and can differ from measured ones.

Main lines, in order of rising 2θ (5° ≤ 2θ ≤ 70°):
Position (°2θ)  intensity  index
11.1  55  0 1 1
22.4  21  0 2 2
23.8  38  0 4 0
24.0  47  1 1 -2
27.7  30  1 1 2
29.4  100  1 3 -2
32.6  72  1 3 2
33.4  45  2 0 0
41.4  21  2 4 0
55.3  25  3 3 -2

Atomic structure:
a = 5.426 Å, b = 14.984 Å, c = 9.468 Å
α = 90.00°, β = 98.55°, γ = 90.00°
Atoms (fractional coordinates):
Er 0.247 0.088 0.481
Er 0.247 0.412 0.981
Er 0.753 0.588 0.019
Er 0.753 0.912 0.519
Cu 0.235 0.232 0.196
Cu 0.235 0.268 0.696
Cu 0.765 0.732 0.304
Cu 0.765 0.768 0.804
Te 0.248 0.644 0.774
Te 0.248 0.856 0.274
Te 0.269 0.596 0.281
Te 0.269 0.904 0.781
Te 0.731 0.096 0.219
Te 0.731 0.404 0.719
Te 0.752 0.144 0.726
Te 0.752 0.356 0.226
Br 0.243 0.100 0.954
Br 0.243 0.400 0.454
Br 0.757 0.600 0.546
Br 0.757 0.900 0.046
O 0.006 0.172 0.612
O 0.006 0.328 0.112
O 0.023 0.685 0.205
O 0.023 0.815 0.705
O 0.123 0.521 0.129
O 0.123 0.979 0.629
O 0.380 0.540 0.875
O 0.380 0.960 0.375
O 0.467 0.145 0.310
O 0.467 0.355 0.810
O 0.490 0.209 0.609
O 0.490 0.291 0.109
O 0.510 0.709 0.891
O 0.510 0.791 0.391
O 0.533 0.645 0.190
O 0.533 0.855 0.690
O 0.620 0.040 0.625
O 0.620 0.460 0.125
O 0.877 0.021 0.371
O 0.877 0.479 0.871
O 0.977 0.185 0.295
O 0.977 0.315 0.795
O 0.994 0.672 0.888
O 0.994 0.828 0.388